Starting from a cell relaxed with PBE+U, the XRD peak list of Li2Cr2O9 was simulated for λ = 1.5418 Å (Cu Kα).

Structure:
```
data_Li2Cr2O9
_chemical_formula_sum 'Li8 Cr8 O36'
_cell_length_a 13.8400
_cell_length_b 9.2807
_cell_length_c 6.0071
_cell_angle_alpha 90.00
_cell_angle_beta 94.28
_cell_angle_gamma 90.00
_space_group_name_H-M_alt 'C 1 2/c 1'
_space_group_IT_number 15
loop_
_space_group_symop_operation_xyz
'x,y,z'
'-x,-y,-z'
'-x,y,-z+1/2'
'x,-y,z+1/2'
'x+1/2,y+1/2,z'
'-x+1/2,-y+1/2,-z'
'-x+1/2,y+1/2,-z+1/2'
'x+1/2,-y+1/2,z+1/2'
loop_
_atom_site_label
_atom_site_type_symbol
_atom_site_fract_x
_atom_site_fract_y
_atom_site_fract_z
Li1 Li 0.1601 0.0968 0.2447
Cr1 Cr 0.1183 0.2459 0.7281
O1 O 0.0000 0.3360 0.7500
O2 O 0.0850 0.1446 0.5122
O3 O 0.1077 0.2794 0.0503
O4 O 0.1744 0.1124 0.8979
O5 O 0.1978 0.3616 0.6587
```

Largest 10 diffraction maxima, in order of rising 2θ, 2θ = 15–90°:
| Position (°2θ) | Rel. int. |
| --- | --- |
| 18.38 | 48 |
| 19.13 | 100 |
| 25.40 | 13 |
| 25.82 | 24 |
| 27.07 | 9 |
| 32.33 | 19 |
| 34.87 | 11 |
| 35.68 | 6 |
| 47.49 | 12 |
| 57.26 | 6 |